No. 1
# Hg5As
Computed X-ray powder pattern, λ = 1.5418 Å (Cu Kα). Input: a crystal structure in Alexandria, relaxed with GGA-PBE.
No peak broadening, texture or thermal motion is included.

Principal peaks in the range 10 to 80 degrees two-theta, in order of rising 2θ:
2θ (°), I/Imax
28.49, 44.9
28.83, 82.7
29.71, 37.7
32.55, 82.2
32.94, 100.0
34.38, 63.6
39.85, 51.3
42.46, 36.4

Crystal structure
```
Hg5As
1.0
5.4444 -1.5466 0.0000
5.4444 1.5466 0.0000
-3.1325 0.0000 9.2888
Hg As
5 1
Direct
0.0000 0.0000 0.0000
0.3877 0.3877 0.6223
0.5641 0.5641 0.3404
0.7152 0.7152 0.9103
0.8004 0.8004 0.2529
0.1328 0.1328 0.6291
```

No. 2
# PtAu
Computed X-ray powder pattern, λ = 1.5418 Å (Cu Kα). Input: a crystal structure in Alexandria, relaxed with GGA-PBE.
No peak broadening, texture or thermal motion is included.

Principal peaks in the range 10 to 80 degrees two-theta, in order of rising 2θ:
2θ (°), I/Imax
38.36, 100.0
43.35, 17.4
45.20, 31.9
64.42, 21.8
64.79, 0.6
65.84, 10.6
76.21, 13.1
78.85, 25.6

Crystal structure
```
PtAu
1.0
2.8371 0.0000 0.0000
0.0000 2.8371 0.0000
0.0000 0.0000 8.3487
Pt Au
2 2
Direct
0.2500 0.2500 0.1176
0.7500 0.7500 0.8824
0.2500 0.2500 0.6317
0.7500 0.7500 0.3683
```

No. 3
# Pr2Dy2Ga3
Computed X-ray powder pattern, λ = 1.5418 Å (Cu Kα). Input: a crystal structure in Alexandria, relaxed with GGA-PBE.
No peak broadening, texture or thermal motion is included.

Principal peaks in the range 10 to 80 degrees two-theta, in order of rising 2θ:
2θ (°), I/Imax
25.32, 50.4
30.97, 70.2
31.78, 57.7
34.01, 100.0
36.75, 58.3
37.35, 45.3
38.08, 33.9
39.63, 34.1

Crystal structure
```
Pr2Dy2Ga3
1.0
7.2715 -1.8265 0.0000
7.2715 1.8265 0.0000
-3.1685 0.0000 7.0330
Pr Dy Ga
2 2 3
Direct
0.1823 0.1823 0.2688
0.8177 0.8177 0.7312
0.0995 0.0995 0.7833
0.9005 0.9005 0.2167
0.4181 0.4181 0.5388
0.5000 0.5000 0.0000
0.5819 0.5819 0.4612
```

No. 4
# Y2Ho2Ge3
Computed X-ray powder pattern, λ = 1.5418 Å (Cu Kα). Input: a crystal structure in Alexandria, relaxed with GGA-PBE.
No peak broadening, texture or thermal motion is included.

Principal peaks in the range 10 to 80 degrees two-theta, in order of rising 2θ:
2θ (°), I/Imax
11.28, 50.0
24.94, 27.1
31.50, 34.6
32.57, 100.0
36.49, 18.3
38.96, 44.1
39.24, 28.7
52.17, 20.9

Crystal structure
```
Y2Ho2Ge3
1.0
5.2813 -2.2956 0.0000
5.2813 2.2956 0.0000
-1.7350 0.0000 7.8439
Y Ho Ge
2 2 3
Direct
0.1287 0.1287 0.3517
0.8713 0.8713 0.6483
0.3615 0.3615 0.0845
0.6385 0.6385 0.9155
0.0000 0.0000 0.0000
0.2064 0.2064 0.7202
0.7936 0.7936 0.2798
```

No. 5
# ZnCd2Si
Computed X-ray powder pattern, λ = 1.5418 Å (Cu Kα). Input: a crystal structure in Alexandria, relaxed with GGA-PBE.
No peak broadening, texture or thermal motion is included.

Principal peaks in the range 10 to 80 degrees two-theta, in order of rising 2θ:
2θ (°), I/Imax
11.05, 15.3
30.87, 26.7
36.61, 100.0
40.32, 20.7
41.82, 18.6
59.49, 12.5
70.88, 13.3
77.86, 12.4

Crystal structure
```
ZnCd2Si
1.0
2.1600 -2.2366 0.0000
2.1600 2.2366 0.0000
0.0000 0.0000 8.0065
Zn Cd Si
1 2 1
Direct
0.0000 0.0000 0.0000
0.0000 0.0000 0.4519
0.5000 0.5000 0.7439
0.5000 0.5000 0.1928
```